Entry 1:
For Cs2Tl12In7, a cell relaxed with PBE gives the theoretical X-ray diffraction stick pattern in this record (CuKα).
Kinematic intensities with the Lorentz-polarization factor, no thermal factor.

Cell and atoms:
```
data_Cs2Tl12In7
_symmetry_space_group_name_H-M 'P -3'
_symmetry_Int_Tables_number 147
_symmetry_space_group_name_Hall '-P 3'
_cell_length_a 12.7615
_cell_length_b 12.7615
_cell_length_c 5.0262
_cell_angle_alpha 90.00
_cell_angle_beta 90.00
_cell_angle_gamma 120.00
loop_
_atom_site_label
_atom_site_fract_x
_atom_site_fract_y
_atom_site_fract_z
Cs1 0.3333 0.6667 0.2490
Tl1 0.0769 0.4349 0.7503
Tl2 0.1261 0.2551 0.2316
In1 0.0000 0.0000 0.5000
In2 0.0944 0.6882 0.7404
```

Principal peaks in the range 2θ = 10–90°, in order of falling intensity:
- hkl 2 1 1, 2θ 27.77, rel. 100
- hkl 3 2 0, 2θ 35.40, rel. 24
- hkl 0 4 1, 2θ 37.13, rel. 22
- hkl 0 0 2, 2θ 35.73, rel. 22
- hkl 4 -1 1, 2θ 34.27, rel. 17
- hkl 1 4 0, 2θ 37.28, rel. 16
- hkl 3 0 1, 2θ 30.08, rel. 14
- hkl 4 0 0, 2θ 32.40, rel. 13
- hkl 5 3 1, 2θ 61.57, rel. 13
- hkl 5 -3 2, 2θ 51.18, rel. 12



Entry 2:
For La4HfN5, a cell relaxed with PBE gives the theoretical X-ray diffraction stick pattern in this record (CuKα).
Kinematic intensities with the Lorentz-polarization factor, no thermal factor.

Cell and atoms:
```
data_La4HfN5
_symmetry_space_group_name_H-M 'I 4'
_symmetry_Int_Tables_number 79
_symmetry_space_group_name_Hall 'I 4'
_cell_length_a 8.060
_cell_length_b 8.060
_cell_length_c 5.295
_cell_angle_alpha 90.00
_cell_angle_beta 90.00
_cell_angle_gamma 90.00
loop_
_atom_site_label
_atom_site_fract_x
_atom_site_fract_y
_atom_site_fract_z
La1 0.106 0.299 0.000
Hf1 0.000 0.000 0.459
N1 0.000 0.000 0.070
N2 0.090 0.267 0.501
```

Principal peaks in the range 2θ = 10–90°, in order of falling intensity:
- hkl 2 1 1, 2θ 29.99, rel. 100
- hkl 1 3 0, 2θ 35.21, rel. 47
- hkl 1 3 2, 2θ 49.65, rel. 34
- hkl 5 0 1, 2θ 59.99, rel. 30
- hkl 0 0 2, 2θ 33.86, rel. 25
- hkl 4 2 0, 2θ 50.65, rel. 16
- hkl 4 2 2, 2θ 62.32, rel. 16
- hkl 2 1 3, 2θ 58.20, rel. 16
- hkl 5 0 3, 2θ 80.73, rel. 12
- hkl 7 1 0, 2θ 85.12, rel. 7



Entry 3:
For AcSnTe3, a cell relaxed with PBE gives the theoretical X-ray diffraction stick pattern in this record (CuKα).
Kinematic intensities with the Lorentz-polarization factor, no thermal factor.

Cell and atoms:
```
data_AcSnTe3
_symmetry_space_group_name_H-M 'P n m a'
_symmetry_Int_Tables_number 62
_symmetry_space_group_name_Hall '-P 2ac 2n'
_cell_length_a 9.049
_cell_length_b 4.678
_cell_length_c 15.866
_cell_angle_alpha 90.00
_cell_angle_beta 90.00
_cell_angle_gamma 90.00
loop_
_atom_site_label
_atom_site_fract_x
_atom_site_fract_y
_atom_site_fract_z
Ac1 0.095 0.250 0.170
Sn1 0.154 0.750 0.441
Te1 0.033 0.750 0.623
Te2 0.143 0.750 0.007
Te3 0.181 0.250 0.780
```

Principal peaks in the range 2θ = 10–90°, in order of falling intensity:
- hkl 2 1 2, 2θ 29.69, rel. 100
- hkl 0 1 5, 2θ 34.15, rel. 52
- hkl 1 1 3, 2θ 27.29, rel. 49
- hkl 2 1 1, 2θ 28.01, rel. 43
- hkl 0 2 0, 2θ 38.49, rel. 39
- hkl 1 0 5, 2θ 29.84, rel. 34
- hkl 1 2 5, 2θ 49.47, rel. 26
- hkl 3 1 3, 2θ 39.42, rel. 25
- hkl 2 0 4, 2θ 29.96, rel. 17
- hkl 3 0 2, 2θ 31.74, rel. 16



Entry 4:
For Ta5Ge, a cell relaxed with PBE gives the theoretical X-ray diffraction stick pattern in this record (CuKα).
Kinematic intensities with the Lorentz-polarization factor, no thermal factor.

Cell and atoms:
```
data_Ta5Ge
_symmetry_space_group_name_H-M 'C m m m'
_symmetry_Int_Tables_number 65
_symmetry_space_group_name_Hall '-C 2 2'
_cell_length_a 4.509
_cell_length_b 13.582
_cell_length_c 3.480
_cell_angle_alpha 90.00
_cell_angle_beta 90.00
_cell_angle_gamma 90.00
loop_
_atom_site_label
_atom_site_fract_x
_atom_site_fract_y
_atom_site_fract_z
Ta1 0.000 0.000 0.000
Ta2 0.000 0.162 0.500
Ta3 0.000 0.335 0.000
Ge1 0.000 0.500 0.500
```

Principal peaks in the range 2θ = 10–90°, in order of falling intensity:
- hkl 1 3 1, 2θ 38.24, rel. 100
- hkl 2 0 0, 2θ 39.99, rel. 22
- hkl 0 6 0, 2θ 39.82, rel. 22
- hkl 3 3 1, 2θ 71.48, rel. 16
- hkl 1 9 1, 2θ 71.25, rel. 16
- hkl 2 6 0, 2θ 57.71, rel. 15
- hkl 2 6 2, 2θ 81.86, rel. 11
- hkl 0 0 2, 2θ 52.59, rel. 10
- hkl 1 3 3, 2θ 89.98, rel. 9
- hkl 2 0 2, 2θ 68.06, rel. 9